Record 1
Starting from a structure optimized by DFT (PBE), the powder diffraction line list of Hg6BiH3 was computed for Cu Kα X-rays.
Peak positions follow from Bragg's law for the DFT cell and can differ from measured ones.

```
Hg6BiH3
1.0
3.752 0.000 0.000
0.000 11.627 0.000
-0.064 -5.278 10.812
Hg Bi H
12 2 6
Cartesian
0.911 1.362 0.460
0.902 8.036 3.307
0.901 1.307 5.197
0.944 7.566 0.279
0.908 4.187 7.885
0.910 7.441 7.227
2.777 -1.092 3.584
2.780 2.162 2.927
2.743 -1.217 10.533
2.786 5.042 5.615
2.786 -1.688 7.504
2.777 4.987 10.352
0.900 0.981 8.230
2.787 5.368 2.581
0.910 4.572 2.810
0.909 7.598 5.522
0.911 -4.321 8.918
2.777 10.670 1.893
2.778 -1.249 5.289
2.777 1.777 8.001
```

Top 6 peaks for 10 to 80 degrees two-theta, in order of rising 2θ:
| 2theta | d [Å] | Rel. int. |
| --- | --- | --- |
| 28.32 | 3.151 | 100 |
| 30.80 | 2.903 | 28 |
| 32.34 | 2.768 | 39 |
| 33.15 | 2.702 | 28 |
| 33.37 | 2.685 | 32 |
| 48.53 | 1.876 | 31 |


Record 2
Starting from a structure optimized by DFT (PBE), the powder diffraction line list of Hg3Bi2H4 was computed for Cu Kα X-rays.
Peak positions follow from Bragg's law for the DFT cell and can differ from measured ones.

```
Hg3Bi2H4
1.0
4.678 -7.334 0.000
4.678 7.334 0.000
0.000 0.000 7.978
Hg Bi H
6 4 8
Cartesian
0.000 0.000 1.995
0.000 0.000 5.984
4.678 1.796 1.995
4.678 1.796 5.984
4.678 -1.796 1.995
4.678 -1.796 5.984
2.590 1.656 0.000
2.590 -1.656 3.989
6.767 1.656 3.989
6.767 -1.656 0.000
2.261 3.299 3.989
2.933 0.149 3.989
2.933 -0.149 0.000
2.261 -3.299 0.000
7.095 3.299 0.000
6.424 0.149 0.000
6.424 -0.149 3.989
7.095 -3.299 3.989
```

Top 6 peaks for 10 to 80 degrees two-theta, in order of rising 2θ:
| 2theta | d [Å] | Rel. int. |
| --- | --- | --- |
| 15.80 | 5.609 | 59 |
| 20.50 | 4.333 | 61 |
| 23.36 | 3.808 | 43 |
| 29.43 | 3.035 | 100 |
| 31.95 | 2.801 | 38 |
| 38.49 | 2.339 | 54 |


Record 3
Starting from a structure optimized by DFT (PBE), the powder diffraction line list of Ho5Bi4H was computed for Cu Kα X-rays.
Peak positions follow from Bragg's law for the DFT cell and can differ from measured ones.

```
Ho5Bi4H
1.0
-4.864 4.864 3.131
4.864 -4.864 3.131
4.864 4.864 -3.131
Ho Bi H
5 4 1
Cartesian
0.000 0.000 0.000
5.844 1.979 0.665
1.979 3.883 0.665
2.885 0.980 3.797
-0.980 2.885 3.797
6.835 -0.935 0.665
2.892 0.935 0.665
-0.935 2.892 0.665
0.935 6.835 0.665
0.000 0.000 4.058
```

Top 6 peaks for 10 to 80 degrees two-theta, in order of rising 2θ:
| 2theta | d [Å] | Rel. int. |
| --- | --- | --- |
| 28.51 | 3.131 | 44 |
| 29.03 | 3.076 | 100 |
| 41.14 | 2.194 | 72 |
| 41.52 | 2.175 | 38 |
| 51.13 | 1.786 | 38 |
| 75.48 | 1.259 | 23 |


Record 4
Starting from a structure optimized by DFT (PBE), the powder diffraction line list of Bi2H3I was computed for Cu Kα X-rays.
Peak positions follow from Bragg's law for the DFT cell and can differ from measured ones.

```
Bi2H3I
1.0
6.356 0.000 0.000
-2.753 6.719 0.000
-1.087 -2.687 7.407
Bi H I
4 6 2
Cartesian
-0.411 0.188 3.546
-1.765 2.973 7.131
4.280 1.059 0.276
2.926 3.845 3.861
-2.102 4.052 5.344
0.828 -0.111 2.218
-0.560 2.069 6.084
3.076 1.964 1.323
1.688 4.143 5.189
4.617 -0.020 2.063
0.130 3.656 2.036
2.385 0.376 5.372
```

Top 6 peaks for 10 to 80 degrees two-theta, in order of rising 2θ:
| 2theta | d [Å] | Rel. int. |
| --- | --- | --- |
| 20.29 | 4.378 | 100 |
| 23.78 | 3.741 | 21 |
| 28.28 | 3.155 | 33 |
| 31.32 | 2.856 | 30 |
| 32.20 | 2.780 | 43 |
| 40.78 | 2.213 | 20 |


Record 5
Starting from a structure optimized by DFT (PBE), the powder diffraction line list of Bi2H2I5 was computed for Cu Kα X-rays.
Peak positions follow from Bragg's law for the DFT cell and can differ from measured ones.

```
Bi2H2I5
1.0
0.000 6.544 8.710
4.388 0.000 8.710
4.388 6.544 0.000
Bi H I
2 2 5
Cartesian
4.388 3.075 8.710
4.388 10.012 8.710
4.388 6.544 4.348
4.388 6.544 13.073
0.000 0.000 0.000
2.194 3.272 2.183
2.194 3.272 6.528
6.583 9.816 10.893
6.583 9.816 15.238
```

Top 6 peaks for 10 to 80 degrees two-theta, in order of rising 2θ:
| 2theta | d [Å] | Rel. int. |
| --- | --- | --- |
| 10.16 | 8.710 | 85 |
| 13.53 | 6.544 | 100 |
| 27.26 | 3.272 | 33 |
| 28.88 | 3.091 | 61 |
| 32.02 | 2.795 | 52 |
| 40.13 | 2.247 | 48 |


Record 6
Starting from a structure optimized by DFT (PBE), the powder diffraction line list of ZrBiHI was computed for Cu Kα X-rays.
Peak positions follow from Bragg's law for the DFT cell and can differ from measured ones.

```
ZrBiHI
1.0
3.163 -1.827 0.000
3.163 1.827 0.000
-2.121 0.000 8.391
Zr Bi H I
1 1 1 1
Cartesian
0.000 0.000 0.000
-0.011 0.000 6.017
2.096 0.000 8.326
2.110 0.000 2.119
```

Top 6 peaks for 10 to 80 degrees two-theta, in order of rising 2θ:
| 2theta | d [Å] | Rel. int. |
| --- | --- | --- |
| 21.18 | 4.195 | 39 |
| 28.44 | 3.139 | 77 |
| 31.66 | 2.827 | 67 |
| 33.45 | 2.679 | 100 |
| 37.88 | 2.375 | 36 |
| 49.93 | 1.826 | 42 |


Record 7
Starting from a structure optimized by DFT (PBE), the powder diffraction line list of InBi2H was computed for Cu Kα X-rays.
Peak positions follow from Bragg's law for the DFT cell and can differ from measured ones.

```
InBi2H
1.0
3.299 0.000 0.000
1.565 7.507 0.000
0.082 0.715 9.157
In Bi H
2 4 2
Cartesian
0.871 3.387 3.318
4.076 4.835 5.839
0.674 0.386 2.664
2.465 4.931 1.085
2.482 3.292 8.072
4.272 7.836 6.493
0.637 1.032 0.926
4.310 7.190 8.231
```

Top 6 peaks for 10 to 80 degrees two-theta, in order of rising 2θ:
| 2theta | d [Å] | Rel. int. |
| --- | --- | --- |
| 19.39 | 4.579 | 21 |
| 23.55 | 3.777 | 67 |
| 24.99 | 3.563 | 21 |
| 29.39 | 3.039 | 59 |
| 29.67 | 3.011 | 100 |
| 43.30 | 2.090 | 28 |


Record 8
Starting from a structure optimized by DFT (PBE), the powder diffraction line list of InBiH4 was computed for Cu Kα X-rays.
Peak positions follow from Bragg's law for the DFT cell and can differ from measured ones.

```
InBiH4
1.0
-3.122 3.122 4.975
3.122 -3.122 4.975
3.122 3.122 -4.975
In Bi H
2 2 8
Cartesian
0.000 1.561 1.244
3.122 1.561 3.731
3.122 1.561 -1.244
0.000 1.561 6.219
3.056 3.127 -2.718
1.556 1.495 0.231
3.056 0.005 2.718
1.566 -1.495 5.206
1.556 4.617 -0.231
0.066 3.117 2.257
1.566 1.627 4.745
0.066 -0.005 7.693
```

Top 6 peaks for 10 to 80 degrees two-theta, in order of rising 2θ:
| 2theta | d [Å] | Rel. int. |
| --- | --- | --- |
| 27.00 | 3.302 | 100 |
| 28.59 | 3.122 | 43 |
| 40.88 | 2.207 | 16 |
| 46.69 | 1.945 | 23 |
| 49.68 | 1.835 | 38 |
| 55.67 | 1.651 | 14 |